1.
Diffraction record for MgAlV. The PXRD pattern is theoretical, not measured: it uses a DFT-relaxed cell (GGA-PBE, Alexandria) and Cu Kα X-rays.
Peak positions follow from Bragg's law for the DFT cell and can differ from measured ones.

Main lines, in order of rising 2θ (10 to 80 degrees two-theta):
- 2θ = 13.74°, intensity 20
- 2θ = 20.72°, intensity 7
- 2θ = 24.95°, intensity 5
- 2θ = 38.97°, intensity 100
- 2θ = 42.06°, intensity 17
- 2θ = 42.17°, intensity 21
- 2θ = 48.47°, intensity 6
- 2θ = 51.24°, intensity 12
- 2θ = 61.08°, intensity 11
- 2θ = 68.42°, intensity 16
- 2θ = 74.79°, intensity 9
- 2θ = 74.94°, intensity 13

Crystal structure
```
MgAlV
1.0
1.783 -6.445 0.000
1.783 6.445 0.000
0.000 0.000 4.286
Mg Al V
2 2 2
Cartesian
0.000 0.000 0.000
1.783 0.000 2.143
1.783 4.192 2.143
1.783 -4.192 2.143
1.783 2.344 0.000
1.783 -2.344 0.000
```



2.
Diffraction record for Mg16Al12V. The PXRD pattern is theoretical, not measured: it uses a DFT-relaxed cell (GGA-PBE, Alexandria) and Cu Kα X-rays.
Peak positions follow from Bragg's law for the DFT cell and can differ from measured ones.

Main lines, in order of rising 2θ (10 to 80 degrees two-theta):
- 2θ = 11.97°, intensity 16
- 2θ = 34.26°, intensity 26
- 2θ = 36.26°, intensity 90
- 2θ = 36.42°, intensity 87
- 2θ = 36.54°, intensity 100
- 2θ = 40.08°, intensity 17
- 2θ = 40.52°, intensity 65
- 2θ = 44.03°, intensity 16
- 2θ = 44.23°, intensity 13
- 2θ = 65.46°, intensity 21
- 2θ = 65.62°, intensity 16
- 2θ = 65.76°, intensity 17

Crystal structure
```
Mg16Al12V
1.0
7.373 4.257 3.047
-7.373 4.257 3.047
0.000 -8.514 3.047
Mg Al V
16 12 1
Cartesian
0.000 0.000 0.000
-2.933 -1.693 4.958
-2.083 -4.599 5.768
-5.024 0.495 5.768
-4.803 -2.773 7.079
0.000 -2.553 4.580
-2.211 1.277 4.580
2.083 -4.599 5.768
-2.941 4.104 5.768
2.933 -1.693 4.958
0.000 3.387 4.958
2.211 1.277 4.580
5.024 0.495 5.768
2.941 4.103 5.768
4.803 -2.773 7.079
0.000 5.546 7.079
-1.376 -0.794 2.659
0.000 -5.314 3.553
-4.602 2.657 3.553
1.376 -0.794 2.659
0.000 1.588 2.659
-1.327 -2.321 7.390
-2.673 0.011 7.390
4.602 2.657 3.553
1.327 -2.321 7.390
-1.346 2.309 7.390
2.673 0.011 7.390
1.346 2.309 7.390
0.000 0.000 6.295
```



3.
Diffraction record for Mg4AlW. The PXRD pattern is theoretical, not measured: it uses a DFT-relaxed cell (GGA-PBE, Alexandria) and Cu Kα X-rays.
Peak positions follow from Bragg's law for the DFT cell and can differ from measured ones.

Main lines, in order of rising 2θ (10 to 80 degrees two-theta):
- 2θ = 19.83°, intensity 71
- 2θ = 22.94°, intensity 43
- 2θ = 32.67°, intensity 66
- 2θ = 38.51°, intensity 100
- 2θ = 40.30°, intensity 20
- 2θ = 51.37°, intensity 18
- 2θ = 52.81°, intensity 19
- 2θ = 58.31°, intensity 25
- 2θ = 62.22°, intensity 33
- 2θ = 68.46°, intensity 17
- 2θ = 72.07°, intensity 14
- 2θ = 77.94°, intensity 11

Crystal structure
```
Mg4AlW
1.0
0.000 3.876 3.876
3.876 0.000 3.876
3.876 3.876 0.000
Mg Al W
4 1 1
Cartesian
0.966 0.966 0.966
2.911 2.911 0.966
2.911 0.966 2.911
0.966 2.911 2.911
3.876 3.876 3.876
5.815 5.815 5.815
```



4.
Diffraction record for Mg16Al12W. The PXRD pattern is theoretical, not measured: it uses a DFT-relaxed cell (GGA-PBE, Alexandria) and Cu Kα X-rays.
Peak positions follow from Bragg's law for the DFT cell and can differ from measured ones.

Main lines, in order of rising 2θ (10 to 80 degrees two-theta):
- 2θ = 11.78°, intensity 91
- 2θ = 12.20°, intensity 100
- 2θ = 16.99°, intensity 39
- 2θ = 20.23°, intensity 33
- 2θ = 20.96°, intensity 40
- 2θ = 34.36°, intensity 39
- 2θ = 35.86°, intensity 74
- 2θ = 36.59°, intensity 52
- 2θ = 37.02°, intensity 58
- 2θ = 37.17°, intensity 47
- 2θ = 41.12°, intensity 75
- 2θ = 43.93°, intensity 32

Crystal structure
```
Mg16Al12W
1.0
7.257 4.190 3.124
-7.257 4.190 3.124
0.000 -8.380 3.124
Mg Al W
16 12 1
Cartesian
0.000 0.000 0.000
-2.907 -4.002 3.481
-4.919 -0.517 3.481
0.000 -5.396 2.166
-4.673 2.698 2.166
-2.037 -1.176 4.674
0.000 -3.307 4.312
-2.864 1.654 4.312
2.907 -4.002 3.481
-2.012 4.518 3.481
2.037 -1.176 4.674
0.000 2.352 4.674
4.673 2.698 2.166
4.919 -0.517 3.481
2.012 4.518 3.481
2.864 1.654 4.312
-1.323 -2.277 1.806
-2.633 -0.007 1.806
1.323 -2.277 1.806
-1.311 2.284 1.806
-4.476 -2.584 5.764
2.633 -0.007 1.806
1.311 2.284 1.806
0.000 -1.590 6.761
-1.377 0.795 6.761
4.476 -2.584 5.764
0.000 5.168 5.764
1.377 0.795 6.761
0.000 0.000 2.769
```



5.
Diffraction record for YMgAl4. The PXRD pattern is theoretical, not measured: it uses a DFT-relaxed cell (GGA-PBE, Alexandria) and Cu Kα X-rays.
Peak positions follow from Bragg's law for the DFT cell and can differ from measured ones.

Main lines, in order of rising 2θ (10 to 80 degrees two-theta):
- 2θ = 10.04°, intensity 75
- 2θ = 21.08°, intensity 30
- 2θ = 27.48°, intensity 38
- 2θ = 32.31°, intensity 62
- 2θ = 33.91°, intensity 27
- 2θ = 35.85°, intensity 100
- 2θ = 38.38°, intensity 97
- 2θ = 38.89°, intensity 72
- 2θ = 59.93°, intensity 40
- 2θ = 61.68°, intensity 23
- 2θ = 65.75°, intensity 27
- 2θ = 67.61°, intensity 26

Crystal structure
```
YMgAl4
1.0
5.542 0.000 0.000
-2.771 4.800 0.000
0.000 0.000 8.810
Y Mg Al
2 2 8
Cartesian
0.000 3.200 0.620
2.771 1.600 8.190
0.000 3.200 3.907
2.771 1.600 4.903
0.000 0.000 0.000
0.000 0.000 4.405
0.000 1.642 6.591
-1.349 3.979 6.591
1.422 0.821 2.220
1.349 3.979 6.591
4.120 0.821 2.220
2.771 3.158 2.220
```



6.
Diffraction record for YMg16Al12. The PXRD pattern is theoretical, not measured: it uses a DFT-relaxed cell (GGA-PBE, Alexandria) and Cu Kα X-rays.
Peak positions follow from Bragg's law for the DFT cell and can differ from measured ones.

Main lines, in order of rising 2θ (10 to 80 degrees two-theta):
- 2θ = 11.74°, intensity 28
- 2θ = 11.97°, intensity 12
- 2θ = 33.97°, intensity 14
- 2θ = 35.78°, intensity 89
- 2θ = 36.06°, intensity 99
- 2θ = 36.44°, intensity 100
- 2θ = 39.74°, intensity 47
- 2θ = 40.80°, intensity 17
- 2θ = 41.79°, intensity 21
- 2θ = 64.43°, intensity 14
- 2θ = 64.68°, intensity 25
- 2θ = 65.49°, intensity 16

Crystal structure
```
YMg16Al12
1.0
7.535 4.350 2.992
-7.535 4.350 2.992
0.000 -8.701 2.992
Y Mg Al
1 16 12
Cartesian
0.000 0.000 0.000
0.000 -5.206 2.314
-4.509 2.603 2.314
-5.040 -2.910 4.851
-2.353 -3.915 6.095
-4.567 -0.080 6.095
0.000 0.000 3.361
0.000 -2.967 4.394
-2.570 1.484 4.394
4.509 2.603 2.314
2.353 -3.915 6.095
-2.214 3.995 6.095
2.570 1.484 4.394
5.040 -2.910 4.851
0.000 5.819 4.851
4.567 -0.080 6.095
2.214 3.995 6.095
-1.349 -2.389 1.698
-2.743 0.026 1.698
1.349 -2.389 1.698
-1.394 2.363 1.698
-2.727 -1.575 3.962
2.743 0.026 1.698
1.394 2.363 1.698
2.727 -1.575 3.962
0.000 3.149 3.962
-1.383 -0.799 6.142
1.383 -0.799 6.142
0.000 1.597 6.142
```



7.
Diffraction record for Y3MgAl3. The PXRD pattern is theoretical, not measured: it uses a DFT-relaxed cell (GGA-PBE, Alexandria) and Cu Kα X-rays.
Peak positions follow from Bragg's law for the DFT cell and can differ from measured ones.

Main lines, in order of rising 2θ (10 to 80 degrees two-theta):
- 2θ = 25.51°, intensity 86
- 2θ = 27.78°, intensity 25
- 2θ = 29.88°, intensity 62
- 2θ = 30.85°, intensity 64
- 2θ = 31.06°, intensity 43
- 2θ = 31.61°, intensity 57
- 2θ = 31.88°, intensity 53
- 2θ = 32.39°, intensity 40
- 2θ = 35.06°, intensity 100
- 2θ = 36.13°, intensity 28
- 2θ = 37.69°, intensity 22
- 2θ = 40.73°, intensity 41

Crystal structure
```
Y3MgAl3
1.0
6.984 0.000 0.000
0.488 7.000 0.000
0.088 0.332 7.163
Y Mg Al
6 2 6
Cartesian
0.323 1.822 3.027
0.969 5.091 0.551
3.246 1.697 0.524
4.313 5.635 6.639
6.591 2.241 6.612
7.237 5.510 4.136
3.255 6.223 2.875
4.305 1.109 4.288
1.756 0.495 5.460
2.167 3.422 5.300
2.678 3.590 2.688
4.882 3.742 4.476
5.393 3.910 1.864
5.803 6.837 1.703
```



8.
Diffraction record for YMgAl. The PXRD pattern is theoretical, not measured: it uses a DFT-relaxed cell (GGA-PBE, Alexandria) and Cu Kα X-rays.
Peak positions follow from Bragg's law for the DFT cell and can differ from measured ones.

Main lines, in order of rising 2θ (10 to 80 degrees two-theta):
- 2θ = 10.38°, intensity 10
- 2θ = 20.84°, intensity 22
- 2θ = 21.35°, intensity 46
- 2θ = 33.10°, intensity 47
- 2θ = 33.43°, intensity 100
- 2θ = 36.82°, intensity 49
- 2θ = 37.72°, intensity 27
- 2θ = 50.10°, intensity 11
- 2θ = 51.04°, intensity 27
- 2θ = 52.21°, intensity 10
- 2θ = 65.38°, intensity 13
- 2θ = 65.59°, intensity 17

Crystal structure
```
YMgAl
1.0
3.504 0.000 0.000
0.000 4.770 0.000
-0.006 0.000 8.525
Y Mg Al
2 2 2
Cartesian
0.000 1.192 1.890
3.498 3.577 6.635
1.744 1.192 5.003
1.754 3.577 3.522
1.746 1.192 7.827
1.752 3.577 0.699
```



9.
Diffraction record for YMg14Al. The PXRD pattern is theoretical, not measured: it uses a DFT-relaxed cell (GGA-PBE, Alexandria) and Cu Kα X-rays.
Peak positions follow from Bragg's law for the DFT cell and can differ from measured ones.

Main lines, in order of rising 2θ (10 to 80 degrees two-theta):
- 2θ = 15.77°, intensity 11
- 2θ = 18.03°, intensity 13
- 2θ = 23.57°, intensity 8
- 2θ = 28.89°, intensity 5
- 2θ = 31.86°, intensity 26
- 2θ = 35.22°, intensity 24
- 2θ = 36.52°, intensity 100
- 2θ = 48.22°, intensity 15
- 2θ = 56.76°, intensity 18
- 2θ = 64.06°, intensity 17
- 2θ = 68.59°, intensity 19
- 2θ = 69.41°, intensity 14

Crystal structure
```
YMg14Al
1.0
6.487 0.000 0.000
-3.244 5.618 0.000
0.000 0.000 10.192
Y Mg Al
1 14 1
Cartesian
0.000 0.000 0.000
-1.564 2.842 0.000
0.000 1.849 2.635
0.000 1.849 7.557
-1.643 4.694 2.635
-1.643 4.694 7.557
1.564 2.842 0.000
0.000 5.552 0.000
3.244 0.044 5.096
1.660 2.787 5.096
3.244 1.873 2.462
3.244 1.873 7.729
1.643 4.694 2.635
1.643 4.694 7.557
4.828 2.787 5.096
0.000 0.000 5.096
```



10.
Diffraction record for YMgAl. The PXRD pattern is theoretical, not measured: it uses a DFT-relaxed cell (GGA-PBE, Alexandria) and Cu Kα X-rays.
Peak positions follow from Bragg's law for the DFT cell and can differ from measured ones.

Main lines, in order of rising 2θ (10 to 80 degrees two-theta):
- 2θ = 14.20°, intensity 38
- 2θ = 27.55°, intensity 42
- 2θ = 28.63°, intensity 13
- 2θ = 34.36°, intensity 100
- 2θ = 37.95°, intensity 39
- 2θ = 40.72°, intensity 11
- 2θ = 43.54°, intensity 11
- 2θ = 48.22°, intensity 12
- 2θ = 54.76°, intensity 13
- 2θ = 59.11°, intensity 18
- 2θ = 66.27°, intensity 28
- 2θ = 72.43°, intensity 9

Crystal structure
```
YMgAl
1.0
-1.676 1.676 6.236
1.676 -1.676 6.236
1.676 1.676 -6.236
Y Mg Al
1 1 1
Cartesian
0.000 0.000 0.000
0.000 0.000 8.681
0.000 0.000 4.210
```



11.
Diffraction record for Y3MgAl8. The PXRD pattern is theoretical, not measured: it uses a DFT-relaxed cell (GGA-PBE, Alexandria) and Cu Kα X-rays.
Peak positions follow from Bragg's law for the DFT cell and can differ from measured ones.

Main lines, in order of rising 2θ (10 to 80 degrees two-theta):
- 2θ = 18.79°, intensity 6
- 2θ = 19.64°, intensity 22
- 2θ = 22.71°, intensity 4
- 2θ = 24.78°, intensity 4
- 2θ = 32.34°, intensity 68
- 2θ = 38.12°, intensity 100
- 2θ = 39.88°, intensity 14
- 2θ = 50.83°, intensity 5
- 2θ = 57.67°, intensity 24
- 2θ = 61.54°, intensity 31
- 2θ = 67.69°, intensity 22
- 2θ = 77.02°, intensity 10

Crystal structure
```
Y3MgAl8
1.0
2.769 1.599 9.038
-2.769 1.599 9.038
0.000 -3.197 9.038
Y Mg Al
3 1 8
Cartesian
0.000 0.000 0.000
0.000 0.000 3.460
0.000 0.000 16.890
0.000 0.000 13.559
0.000 -1.608 6.236
-1.388 -0.801 10.755
-1.393 0.804 6.236
0.000 0.000 8.484
1.388 -0.801 10.755
0.000 1.603 10.755
1.393 0.804 6.236
0.000 0.000 22.059
```



12.
Diffraction record for YMgAl. The PXRD pattern is theoretical, not measured: it uses a DFT-relaxed cell (GGA-PBE, Alexandria) and Cu Kα X-rays.
Peak positions follow from Bragg's law for the DFT cell and can differ from measured ones.

Main lines, in order of rising 2θ (10 to 80 degrees two-theta):
- 2θ = 21.10°, intensity 25
- 2θ = 21.34°, intensity 47
- 2θ = 33.28°, intensity 50
- 2θ = 33.44°, intensity 100
- 2θ = 37.13°, intensity 56
- 2θ = 37.56°, intensity 27
- 2θ = 50.59°, intensity 15
- 2θ = 51.04°, intensity 29
- 2θ = 64.40°, intensity 14
- 2θ = 64.69°, intensity 14
- 2θ = 65.17°, intensity 14
- 2θ = 65.83°, intensity 20

Crystal structure
```
YMgAl
1.0
-2.395 4.210 3.502
2.395 -4.210 3.502
2.395 4.210 -3.502
Y Mg Al
2 2 2
Cartesian
1.197 2.099 0.000
1.197 2.111 3.502
1.197 -0.764 5.243
1.197 4.974 1.742
1.197 -0.645 1.758
1.197 4.855 -1.744
```